Diffraction record for PbSe2O6. The powder diffractogram is calculated, not measured: it uses a crystal structure in the Materials Project, relaxed with PBE and copper Kα.
Kinematic intensities with the Lorentz-polarization factor, no thermal factor.

Principal peaks in the range 10° ≤ 2θ ≤ 90°, in order of rising 2θ:
2θ = 11.7°, I = 30, (2 0 0); 2θ = 22.1°, I = 10, (1 1 1); 2θ = 27.7°, I = 17, (0 2 0); 2θ = 27.8°, I = 100, (3 1 1); 2θ = 32.7°, I = 13, (0 0 2); 2θ = 36.7°, I = 11, (5 1 1); 2θ = 43.3°, I = 12, (0 2 2); 2θ = 45.8°, I = 10, (6 2 0); 2θ = 49.0°, I = 9, (3 3 1); 2θ = 49.2°, I = 13, (6 0 2); 2θ = 55.3°, I = 14, (3 1 3); 2θ = 59.4°, I = 10, (9 1 1)

Crystal structure
```
data_PbSe2O6
_chemical_formula_sum 'Pb4 Se8 O24'
_space_group_name_H-M_alt 'P b c n'
_space_group_IT_number 60
_cell_length_a 15.0815
_cell_length_b 6.4499
_cell_length_c 5.4839
_cell_angle_alpha 90.00
_cell_angle_beta 90.00
_cell_angle_gamma 90.00
loop_
_space_group_symop_operation_xyz
'x,y,z'
'-x,-y,-z'
'-x+1/2,-y+1/2,z+1/2'
'x+1/2,y+1/2,-z+1/2'
'x+1/2,-y+1/2,-z'
'-x+1/2,y+1/2,z'
'-x,y,-z+1/2'
'x,-y,z+1/2'
loop_
_atom_site_label
_atom_site_type_symbol
_atom_site_fract_x
_atom_site_fract_y
_atom_site_fract_z
Pb1 Pb 0.0000 0.1935 0.2500
Se1 Se 0.1552 0.2724 0.7493
O1 O 0.0779 0.0978 0.9081
O2 O 0.0843 0.3700 0.5122
O3 O 0.2266 0.1111 0.6255
```